No. 1
Simulated X-ray diffraction stick pattern of Ac2LaIn3Pd6 for Cu Ka, from a DFT-relaxed cell (GGA-PBE, Alexandria).
Intensities are scaled so that the largest is 100.

Principal peaks in the range 2θ = 15–90°, in order of rising 2θ:
27.08 deg, d = 3.293 Å, intensity 54, (1 0 3); 28.11 deg, d = 3.175 Å, intensity 43, (1 1 0); 30.73 deg, d = 2.909 Å, intensity 17, (1 1 2); 33.76 deg, d = 2.655 Å, intensity 100, (1 1 3); 36.84 deg, d = 2.440 Å, intensity 28, (1 0 5); 40.17 deg, d = 2.245 Å, intensity 82, (2 0 0); 42.15 deg, d = 2.144 Å, intensity 53, (1 1 5); 49.12 deg, d = 1.855 Å, intensity 22, (2 1 3); 55.84 deg, d = 1.646 Å, intensity 18, (2 0 6); 58.11 deg, d = 1.587 Å, intensity 27, (2 2 0); 68.92 deg, d = 1.363 Å, intensity 25, (3 1 3); 74.36 deg, d = 1.276 Å, intensity 17, (3 1 5)

Structure:
```
data_Ac2LaIn3Pd6
_space_group_name_H-M_alt 'P 4/m m m'
_space_group_IT_number 123
_space_group_name_Hall '-P 4 2'
_cell_length_a 4.490
_cell_length_b 4.490
_cell_length_c 14.531
_cell_angle_alpha 90.00
_cell_angle_beta 90.00
_cell_angle_gamma 90.00
loop_
_atom_site_label
_atom_site_type_symbol
_atom_site_fract_x
_atom_site_fract_y
_atom_site_fract_z
Ac1 Ac 0.000 0.000 0.156
La1 La 0.000 0.000 0.500
In1 In 0.500 0.500 0.000
In2 In 0.500 0.500 0.403
Pd1 Pd 0.000 0.500 0.305
Pd2 Pd 0.500 0.500 0.183
```

=====

No. 2
Simulated X-ray diffraction stick pattern of NiAg2Os for Cu Ka, from a DFT-relaxed cell (GGA-PBE, Alexandria).
Intensities are scaled so that the largest is 100.

Principal peaks in the range 2θ = 15–90°, in order of rising 2θ:
24.40 deg, d = 3.648 Å, intensity 11, (0 1 0); 28.28 deg, d = 3.155 Å, intensity 15, (0 1 1); 28.40 deg, d = 3.143 Å, intensity 10, (0 0 2); 37.78 deg, d = 2.381 Å, intensity 100, (0 1 2); 41.48 deg, d = 2.177 Å, intensity 89, (1 1 0); 44.09 deg, d = 2.054 Å, intensity 70, (1 0 2); 50.00 deg, d = 1.824 Å, intensity 25, (0 2 0); 61.42 deg, d = 1.510 Å, intensity 13, (1 1 3); 68.84 deg, d = 1.364 Å, intensity 33, (1 2 2); 74.47 deg, d = 1.274 Å, intensity 16, (1 1 4); 81.70 deg, d = 1.179 Å, intensity 20, (2 1 2); 88.01 deg, d = 1.110 Å, intensity 10, (1 3 0)

Structure:
```
data_NiAg2Os
_space_group_name_H-M_alt 'P m m 2'
_space_group_IT_number 25
_cell_length_a 2.713
_cell_length_b 3.648
_cell_length_c 6.285
_cell_angle_alpha 90.00
_cell_angle_beta 90.00
_cell_angle_gamma 90.00
loop_
_space_group_symop_operation_xyz
'x,y,z'
'-x,-y,z'
'-x,y,z'
'x,-y,z'
loop_
_atom_site_label
_atom_site_type_symbol
_atom_site_fract_x
_atom_site_fract_y
_atom_site_fract_z
Ni1 Ni 0.000 0.000 0.000
Ag1 Ag 0.000 0.000 0.446
Ag2 Ag 0.500 0.500 0.723
Os1 Os 0.500 0.500 0.166
```

=====

No. 3
Simulated X-ray diffraction stick pattern of Ac2TbPm2Sm for Cu Ka, from a DFT-relaxed cell (GGA-PBE, Alexandria).
Intensities are scaled so that the largest is 100.

Principal peaks in the range 2θ = 15–90°, in order of rising 2θ:
29.91 deg, d = 2.987 Å, intensity 100, (2 0 2); 30.16 deg, d = 2.964 Å, intensity 35, (0 2 0); 30.33 deg, d = 2.947 Å, intensity 68, (0 1 3); 43.02 deg, d = 2.103 Å, intensity 26, (2 2 2); 43.19 deg, d = 2.094 Å, intensity 12, (2 0 4); 49.53 deg, d = 1.840 Å, intensity 9, (4 0 0); 53.39 deg, d = 1.716 Å, intensity 13, (2 3 1); 53.63 deg, d = 1.709 Å, intensity 26, (0 3 3); 53.69 deg, d = 1.707 Å, intensity 14, (2 1 5); 59.09 deg, d = 1.563 Å, intensity 11, (4 2 0); 59.19 deg, d = 1.561 Å, intensity 21, (4 1 3); 76.03 deg, d = 1.252 Å, intensity 10, (4 3 3)

Structure:
```
data_Ac2TbPm2Sm
_space_group_name_H-M_alt 'P m m a'
_space_group_IT_number 51
_cell_length_a 7.362
_cell_length_b 5.927
_cell_length_c 10.188
_cell_angle_alpha 90.00
_cell_angle_beta 90.00
_cell_angle_gamma 90.00
loop_
_space_group_symop_operation_xyz
'x,y,z'
'-x,-y,-z'
'-x+1/2,-y,z'
'x+1/2,y,-z'
'x+1/2,-y,-z'
'-x+1/2,y,z'
'-x,y,-z'
'x,-y,z'
loop_
_atom_site_label
_atom_site_type_symbol
_atom_site_fract_x
_atom_site_fract_y
_atom_site_fract_z
Ac1 Ac 0.000 0.000 0.000
Ac2 Ac 0.250 0.500 0.175
Tb1 Tb 0.000 0.500 0.500
Pm1 Pm 0.250 0.000 0.346
Pm2 Pm 0.250 0.500 0.825
Sm1 Sm 0.250 0.000 0.663
```

=====

No. 4
Simulated X-ray diffraction stick pattern of Nd2SmY2Sc for Cu Ka, from a DFT-relaxed cell (GGA-PBE, Alexandria).
Intensities are scaled so that the largest is 100.

Principal peaks in the range 2θ = 15–90°, in order of rising 2θ:
22.58 deg, d = 3.937 Å, intensity 9, (1 1 1); 28.42 deg, d = 3.140 Å, intensity 39, (0 3 1); 31.38 deg, d = 2.851 Å, intensity 37, (2 0 0); 32.50 deg, d = 2.755 Å, intensity 53, (1 0 2); 32.58 deg, d = 2.748 Å, intensity 100, (1 3 1); 42.84 deg, d = 2.111 Å, intensity 25, (2 3 1); 50.27 deg, d = 1.815 Å, intensity 19, (0 3 3); 50.44 deg, d = 1.809 Å, intensity 9, (0 6 0); 56.60 deg, d = 1.626 Å, intensity 31, (3 0 2); 60.47 deg, d = 1.531 Å, intensity 22, (2 3 3); 60.62 deg, d = 1.528 Å, intensity 10, (2 6 0); 61.29 deg, d = 1.512 Å, intensity 16, (1 6 2)

Structure:
```
data_Nd2SmY2Sc
_space_group_name_H-M_alt 'P m c 21'
_space_group_IT_number 26
_cell_length_a 5.702
_cell_length_b 10.855
_cell_length_c 6.294
_cell_angle_alpha 90.00
_cell_angle_beta 90.00
_cell_angle_gamma 90.00
loop_
_space_group_symop_operation_xyz
'x,y,z'
'-x,-y,z+1/2'
'-x,y,z'
'x,-y,z+1/2'
loop_
_atom_site_label
_atom_site_type_symbol
_atom_site_fract_x
_atom_site_fract_y
_atom_site_fract_z
Nd1 Nd 0.000 0.081 0.000
Nd2 Nd 0.500 0.259 0.167
Sm1 Sm 0.000 0.256 0.504
Y1 Y 0.000 0.423 0.984
Y2 Y 0.500 0.090 0.668
Sc1 Sc 0.500 0.420 0.662
```

=====

No. 5
Simulated X-ray diffraction stick pattern of Al2TlZn2 for Cu Ka, from a DFT-relaxed cell (GGA-PBE, Alexandria).
Intensities are scaled so that the largest is 100.

Principal peaks in the range 2θ = 15–90°, in order of rising 2θ:
15.38 deg, d = 5.762 Å, intensity 72, (1 1 0); 21.81 deg, d = 4.074 Å, intensity 28, (2 0 0); 30.53 deg, d = 2.928 Å, intensity 33, (0 0 1); 31.04 deg, d = 2.881 Å, intensity 42, (2 2 0); 34.36 deg, d = 2.610 Å, intensity 42, (1 1 1); 34.82 deg, d = 2.577 Å, intensity 100, (3 1 0); 39.48 deg, d = 2.282 Å, intensity 34, (2 1 1); 44.10 deg, d = 2.053 Å, intensity 33, (2 2 1); 46.97 deg, d = 1.934 Å, intensity 58, (3 1 1); 50.06 deg, d = 1.822 Å, intensity 23, (4 2 0); 59.78 deg, d = 1.547 Å, intensity 26, (4 2 1); 74.56 deg, d = 1.273 Å, intensity 23, (3 1 2)

Structure:
```
data_Al2TlZn2
_space_group_name_H-M_alt 'P 4/m b m'
_space_group_IT_number 127
_space_group_name_Hall '-P 4 2ab'
_cell_length_a 8.149
_cell_length_b 8.149
_cell_length_c 2.928
_cell_angle_alpha 90.00
_cell_angle_beta 90.00
_cell_angle_gamma 90.00
loop_
_atom_site_label
_atom_site_type_symbol
_atom_site_fract_x
_atom_site_fract_y
_atom_site_fract_z
Al1 Al 0.126 0.374 0.000
Tl1 Tl 0.000 0.000 0.500
Zn1 Zn 0.167 0.667 0.500
```

=====

No. 6
Simulated X-ray diffraction stick pattern of Nd3Al4Pd4 for Cu Ka, from a DFT-relaxed cell (GGA-PBE, Alexandria).
Intensities are scaled so that the largest is 100.

Principal peaks in the range 2θ = 15–90°, in order of rising 2θ:
28.07 deg, d = 3.179 Å, intensity 50, (2 1 1); 32.52 deg, d = 2.753 Å, intensity 100, (2 2 0); 36.49 deg, d = 2.462 Å, intensity 39, (3 1 0); 43.49 deg, d = 2.081 Å, intensity 12, (3 2 1); 49.67 deg, d = 1.835 Å, intensity 28, (4 1 1); 52.56 deg, d = 1.741 Å, intensity 20, (4 2 0); 55.34 deg, d = 1.660 Å, intensity 16, (3 3 2); 58.03 deg, d = 1.589 Å, intensity 20, (4 2 2); 68.12 deg, d = 1.377 Å, intensity 8, (4 4 0); 70.52 deg, d = 1.335 Å, intensity 12, (5 3 0); 72.89 deg, d = 1.298 Å, intensity 17, (6 0 0); 82.10 deg, d = 1.174 Å, intensity 13, (6 2 2)

Structure:
```
data_Nd3Al4Pd4
_space_group_name_H-M_alt 'I -4 3 m'
_space_group_IT_number 217
_space_group_name_Hall 'I -4 2 3'
_cell_length_a 7.787
_cell_length_b 7.787
_cell_length_c 7.787
_cell_angle_alpha 90.00
_cell_angle_beta 90.00
_cell_angle_gamma 90.00
loop_
_atom_site_label
_atom_site_type_symbol
_atom_site_fract_x
_atom_site_fract_y
_atom_site_fract_z
Nd1 Nd 0.000 0.000 0.500
Al1 Al 0.129 0.129 0.871
Pd1 Pd 0.191 0.191 0.191
```

=====

No. 7
Simulated X-ray diffraction stick pattern of Pm2CdCu4Si3 for Cu Ka, from a DFT-relaxed cell (GGA-PBE, Alexandria).
Intensities are scaled so that the largest is 100.

Principal peaks in the range 2θ = 15–90°, in order of rising 2θ:
23.25 deg, d = 3.826 Å, intensity 21, (1 0 1); 27.75 deg, d = 3.214 Å, intensity 13, (1 0 2); 34.05 deg, d = 2.633 Å, intensity 42, (1 0 3); 34.97 deg, d = 2.566 Å, intensity 10, (0 0 4); 35.41 deg, d = 2.535 Å, intensity 100, (1 1 2); 43.92 deg, d = 2.062 Å, intensity 43, (2 0 0); 49.61 deg, d = 1.838 Å, intensity 20, (1 0 5); 56.71 deg, d = 1.623 Å, intensity 19, (2 1 3); 57.33 deg, d = 1.607 Å, intensity 9, (2 0 4); 63.85 deg, d = 1.458 Å, intensity 14, (2 2 0); 68.38 deg, d = 1.372 Å, intensity 15, (2 1 5); 75.18 deg, d = 1.264 Å, intensity 21, (3 1 2)

Structure:
```
data_Pm2CdCu4Si3
_space_group_name_H-M_alt 'P -4 m 2'
_space_group_IT_number 115
_cell_length_a 4.123
_cell_length_b 4.123
_cell_length_c 10.264
_cell_angle_alpha 90.00
_cell_angle_beta 90.00
_cell_angle_gamma 90.00
loop_
_space_group_symop_operation_xyz
'x,y,z'
'y,-x,-z'
'-x,-y,z'
'-y,x,-z'
'-x,y,z'
'-y,-x,-z'
'x,-y,z'
'y,x,-z'
loop_
_atom_site_label
_atom_site_type_symbol
_atom_site_fract_x
_atom_site_fract_y
_atom_site_fract_z
Pm1 Pm 0.000 0.500 0.234
Cd1 Cd 0.000 0.000 0.500
Cu1 Cu 0.000 0.000 0.000
Cu2 Cu 0.000 0.500 0.648
Cu3 Cu 0.500 0.500 0.000
Si1 Si 0.000 0.500 0.874
Si2 Si 0.500 0.500 0.500
```

=====

No. 8
Simulated X-ray diffraction stick pattern of InPH6CCl3 for Cu Ka, from a DFT-relaxed cell (GGA-PBE, Alexandria).
Intensities are scaled so that the largest is 100.

Principal peaks in the range 2θ = 15–90°, in order of rising 2θ:
20.48 deg, d = 4.336 Å, intensity 52, (0 1 -3); 21.68 deg, d = 4.099 Å, intensity 73, (0 1 3); 22.00 deg, d = 4.041 Å, intensity 69, (0 2 0); 27.48 deg, d = 3.246 Å, intensity 84, (2 0 2); 28.79 deg, d = 3.100 Å, intensity 38, (2 1 1); 30.25 deg, d = 2.955 Å, intensity 50, (1 2 2); 31.26 deg, d = 2.861 Å, intensity 49, (2 1 -3); 31.46 deg, d = 2.844 Å, intensity 61, (2 -1 3); 31.78 deg, d = 2.816 Å, intensity 100, (-2 2 2); 35.54 deg, d = 2.526 Å, intensity 60, (2 0 4); 35.66 deg, d = 2.518 Å, intensity 60, (2 2 -2); 40.47 deg, d = 2.229 Å, intensity 63, (2 2 -4)

Structure:
```
data_InPH6CCl3
_space_group_name_H-M_alt 'P 1'
_space_group_IT_number 1
_cell_length_a 7.704
_cell_length_b 8.189
_cell_length_c 14.898
_cell_angle_alpha 92.79
_cell_angle_beta 95.22
_cell_angle_gamma 98.50
loop_
_space_group_symop_operation_xyz
'x,y,z'
loop_
_atom_site_label
_atom_site_type_symbol
_atom_site_fract_x
_atom_site_fract_y
_atom_site_fract_z
In1 In 0.000 0.000 0.000
In2 In 0.059 0.498 0.499
In3 In 0.497 0.008 0.990
In4 In 0.558 0.507 0.494
P1 P 0.303 0.451 0.880
P2 P 0.352 0.948 0.388
P3 P 0.735 0.945 0.724
P4 P 0.747 0.448 0.218
H1 H 0.119 0.550 0.763
H2 H 0.150 0.051 0.282
H3 H 0.177 0.309 0.885
H4 H 0.231 0.805 0.396
H5 H 0.289 0.564 0.954
H6 H 0.294 0.457 0.719
H7 H 0.313 0.960 0.226
H8 H 0.339 0.661 0.775
H9 H 0.350 0.060 0.463
H10 H 0.368 0.162 0.284
H11 H 0.469 0.398 0.890
H12 H 0.519 0.897 0.388
H13 H 0.565 0.971 0.742
H14 H 0.575 0.357 0.204
H15 H 0.717 0.639 0.103
H16 H 0.738 0.774 0.708
H17 H 0.740 0.999 0.567
H18 H 0.757 0.566 0.292
H19 H 0.781 0.450 0.060
H20 H 0.791 0.186 0.640
H21 H 0.848 0.002 0.802
H22 H 0.862 0.336 0.241
H23 H 0.941 0.604 0.125
H24 H 0.953 0.051 0.629
C1 C 0.259 0.538 0.774
C2 C 0.290 0.039 0.284
C3 C 0.802 0.545 0.116
C4 C 0.812 0.057 0.631
Cl1 Cl 0.277 0.993 0.849
Cl2 Cl 0.282 0.791 0.062
Cl3 Cl 0.340 0.499 0.353
Cl4 Cl 0.346 0.290 0.565
Cl5 Cl 0.351 0.240 0.062
Cl6 Cl 0.421 0.742 0.568
Cl7 Cl 0.637 0.776 0.916
Cl8 Cl 0.697 0.279 0.415
Cl9 Cl 0.712 0.226 0.921
Cl10 Cl 0.716 0.021 0.131
Cl11 Cl 0.776 0.731 0.427
Cl12 Cl 0.778 0.513 0.635
```

=====

No. 9
Simulated X-ray diffraction stick pattern of ErSc2PaP4 for Cu Ka, from a DFT-relaxed cell (GGA-PBE, Alexandria).
Intensities are scaled so that the largest is 100.

Principal peaks in the range 2θ = 15–90°, in order of rising 2θ:
26.98 deg, d = 3.305 Å, intensity 42, (0 1 1); 28.23 deg, d = 3.161 Å, intensity 51, (0 0 2); 28.50 deg, d = 3.132 Å, intensity 17, (2 0 0); 32.79 deg, d = 2.731 Å, intensity 100, (1 1 1); 35.87 deg, d = 2.504 Å, intensity 22, (1 0 2); 46.87 deg, d = 1.938 Å, intensity 36, (0 2 0); 47.23 deg, d = 1.924 Å, intensity 35, (2 0 2); 55.80 deg, d = 1.648 Å, intensity 11, (1 1 3); 58.38 deg, d = 1.581 Å, intensity 19, (0 0 4); 68.73 deg, d = 1.366 Å, intensity 11, (4 0 -4); 77.97 deg, d = 1.225 Å, intensity 11, (1 3 1); 78.53 deg, d = 1.218 Å, intensity 16, (5 1 -3)

Structure:
```
data_ErSc2PaP4
_space_group_name_H-M_alt 'P 1 2/m 1'
_space_group_IT_number 10
_cell_length_a 6.650
_cell_length_b 3.880
_cell_length_c 6.709
_cell_angle_alpha 90.00
_cell_angle_beta 109.64
_cell_angle_gamma 90.00
loop_
_space_group_symop_operation_xyz
'x,y,z'
'-x,-y,-z'
'-x,y,-z'
'x,-y,z'
loop_
_atom_site_label
_atom_site_type_symbol
_atom_site_fract_x
_atom_site_fract_y
_atom_site_fract_z
Er1 Er 0.000 0.000 0.000
Sc1 Sc 0.500 0.000 0.500
Sc2 Sc 0.500 0.500 0.000
Pa1 Pa 0.000 0.500 0.500
P1 P 0.261 0.500 0.256
P2 P 0.263 0.000 0.754
```

=====

No. 10
Simulated X-ray diffraction stick pattern of Nd7AuS5 for Cu Ka, from a DFT-relaxed cell (GGA-PBE, Alexandria).
Intensities are scaled so that the largest is 100.

Principal peaks in the range 2θ = 15–90°, in order of rising 2θ:
27.19 deg, d = 3.280 Å, intensity 33, (1 4 0); 28.75 deg, d = 3.105 Å, intensity 100, (0 7 1); 29.34 deg, d = 3.044 Å, intensity 43, (1 5 -1); 30.62 deg, d = 2.920 Å, intensity 95, (1 2 -2); 31.72 deg, d = 2.821 Å, intensity 70, (1 3 1); 34.49 deg, d = 2.600 Å, intensity 19, (1 7 0); 40.45 deg, d = 2.230 Å, intensity 23, (1 9 -1); 43.67 deg, d = 2.073 Å, intensity 19, (1 10 0); 44.48 deg, d = 2.037 Å, intensity 44, (0 5 3); 44.68 deg, d = 2.028 Å, intensity 32, (2 0 -1); 54.00 deg, d = 1.698 Å, intensity 35, (2 7 0); 72.72 deg, d = 1.300 Å, intensity 25, (1 7 -5)

Structure:
```
data_Nd7AuS5
_space_group_name_H-M_alt 'P 1 21/m 1'
_space_group_IT_number 11
_cell_length_a 4.056
_cell_length_b 24.512
_cell_length_c 7.013
_cell_angle_alpha 90.00
_cell_angle_beta 106.74
_cell_angle_gamma 90.00
loop_
_space_group_symop_operation_xyz
'x,y,z'
'-x,-y,-z'
'-x,y+1/2,-z'
'x,-y+1/2,z'
loop_
_atom_site_label
_atom_site_type_symbol
_atom_site_fract_x
_atom_site_fract_y
_atom_site_fract_z
Nd1 Nd 0.033 0.250 0.065
Nd2 Nd 0.136 0.536 0.273
Nd3 Nd 0.315 0.174 0.630
Nd4 Nd 0.412 0.606 0.824
Au1 Au 0.297 0.750 0.595
S1 S 0.046 0.642 0.094
S2 S 0.226 0.070 0.452
S3 S 0.500 0.000 0.000
```

=====

No. 11
Simulated X-ray diffraction stick pattern of DyHfAs2Rh5 for Cu Ka, from a DFT-relaxed cell (GGA-PBE, Alexandria).
Intensities are scaled so that the largest is 100.

Principal peaks in the range 2θ = 15–90°, in order of rising 2θ:
23.53 deg, d = 3.781 Å, intensity 24, (1 0 1); 24.39 deg, d = 3.649 Å, intensity 42, (0 0 3); 27.49 deg, d = 3.245 Å, intensity 93, (1 0 2); 32.47 deg, d = 2.757 Å, intensity 51, (1 1 1); 35.52 deg, d = 2.527 Å, intensity 87, (1 1 2); 40.15 deg, d = 2.246 Å, intensity 44, (1 1 3); 45.00 deg, d = 2.015 Å, intensity 92, (2 0 0); 45.98 deg, d = 1.974 Å, intensity 100, (1 1 4); 53.54 deg, d = 1.712 Å, intensity 30, (2 1 2); 65.52 deg, d = 1.425 Å, intensity 30, (2 2 0); 69.50 deg, d = 1.352 Å, intensity 32, (2 0 6); 83.73 deg, d = 1.155 Å, intensity 35, (3 1 4)

Structure:
```
data_DyHfAs2Rh5
_space_group_name_H-M_alt 'P 4/m m m'
_space_group_IT_number 123
_space_group_name_Hall '-P 4 2'
_cell_length_a 4.029
_cell_length_b 4.029
_cell_length_c 10.948
_cell_angle_alpha 90.00
_cell_angle_beta 90.00
_cell_angle_gamma 90.00
loop_
_atom_site_label
_atom_site_type_symbol
_atom_site_fract_x
_atom_site_fract_y
_atom_site_fract_z
Dy1 Dy 0.000 0.000 0.000
Hf1 Hf 0.000 0.000 0.500
As1 As 0.500 0.500 0.217
Rh1 Rh 0.000 0.500 0.335
Rh2 Rh 0.500 0.500 0.000
```

=====

No. 12
Simulated X-ray diffraction stick pattern of Li3AcSn3 for Cu Ka, from a DFT-relaxed cell (GGA-PBE, Alexandria).
Intensities are scaled so that the largest is 100.

Principal peaks in the range 2θ = 15–90°, in order of rising 2θ:
19.98 deg, d = 4.445 Å, intensity 29, (0 0 6); 22.34 deg, d = 3.979 Å, intensity 62, (0 1 5); 27.66 deg, d = 3.225 Å, intensity 100, (2 -1 3); 30.57 deg, d = 2.925 Å, intensity 45, (2 0 2); 30.75 deg, d = 2.907 Å, intensity 40, (0 1 8); 32.82 deg, d = 2.729 Å, intensity 73, (2 -1 6); 39.92 deg, d = 2.258 Å, intensity 33, (2 1 1); 40.13 deg, d = 2.247 Å, intensity 36, (1 1 9); 40.37 deg, d = 2.234 Å, intensity 18, (1 2 2); 46.62 deg, d = 1.948 Å, intensity 26, (0 3 3); 48.62 deg, d = 1.873 Å, intensity 15, (3 -2 8); 55.57 deg, d = 1.654 Å, intensity 30, (3 -2 11)

Structure:
```
data_Li3AcSn3
_space_group_name_H-M_alt 'R -3'
_space_group_IT_number 148
_space_group_name_Hall '-R 3'
_cell_length_a 6.9239
_cell_length_b 6.9239
_cell_length_c 26.5928
_cell_angle_alpha 90.00
_cell_angle_beta 90.00
_cell_angle_gamma 120.00
loop_
_atom_site_label
_atom_site_type_symbol
_atom_site_fract_x
_atom_site_fract_y
_atom_site_fract_z
Li1 Li 0.0511 0.2807 0.1943
Ac1 Ac 0.0000 0.0000 0.3194
Sn1 Sn 0.0454 0.2701 0.0819
```